The following is a simulated PXRD pattern of CePd5. It was derived from a PBE-relaxed structure, using Cu Kα (weighted mean of Kα1 and Kα2).
Lines closer than 0.1° are merged.

Largest 8 diffraction maxima, in order of falling intensity, 2θ from 10° to 80°:
2θ = 39.2°, intensity 100
2θ = 39.8°, intensity 34
2θ = 39.0°, intensity 30
2θ = 44.0°, intensity 29
2θ = 63.9°, intensity 23
2θ = 27.6°, intensity 23
2θ = 33.6°, intensity 22
2θ = 57.0°, intensity 19

Structural model:
```
data_CePd5
_symmetry_space_group_name_H-M 'P 6/m m m'
_symmetry_Int_Tables_number 191
_symmetry_space_group_name_Hall '-P 6 2'
_cell_length_a 5.3333
_cell_length_b 5.3333
_cell_length_c 4.5262
_cell_angle_alpha 90.00
_cell_angle_beta 90.00
_cell_angle_gamma 120.00
loop_
_atom_site_label
_atom_site_type_symbol
_atom_site_fract_x
_atom_site_fract_y
_atom_site_fract_z
Ce1 Ce 0.0000 0.0000 0.0000
Pd1 Pd 0.0000 0.5000 0.5000
Pd2 Pd 0.3333 0.6667 0.0000
```